Calculated X-ray powder pattern of Li4Ti2Co3Sb3O16 for CuKα, from the GGA+U geometry in Alexandria.
Peak positions follow from Bragg's law for the DFT cell and can differ from measured ones.

Crystal structure
a = 6.165 Å, b = 6.165 Å, c = 9.728 Å
α = 90.80°, β = 90.80°, γ = 59.66°
Fractional coordinates of all 28 atoms:
Li1 0.000 0.000 0.000
Li2 0.011 0.011 0.521
Li3 0.339 0.339 0.418
Li4 0.690 0.690 0.908
Ti1 0.377 0.377 0.988
Ti2 0.696 0.696 0.520
Co1 0.195 0.681 0.727
Co2 0.681 0.195 0.727
Co3 0.841 0.841 0.230
Sb1 0.193 0.193 0.732
Sb2 0.348 0.841 0.233
Sb3 0.841 0.348 0.233
O1 0.011 0.011 0.334
O2 0.025 0.025 0.815
O3 0.063 0.491 0.864
O4 0.166 0.166 0.120
O5 0.186 0.681 0.109
O6 0.349 0.349 0.622
O7 0.361 0.865 0.610
O8 0.491 0.063 0.864
O9 0.505 0.505 0.869
O10 0.523 0.523 0.355
O11 0.526 0.965 0.360
O12 0.673 0.673 0.119
O13 0.681 0.186 0.109
O14 0.846 0.846 0.605
O15 0.865 0.361 0.610
O16 0.965 0.526 0.360

Most intense lines, 2θ = 10–90°, sorted by position:
d_spacing	Position (°2θ)	intensity
4.864	18.24	100
4.718	18.81	33
4.684	18.95	39
4.652	19.08	31
2.590	34.64	42
2.569	34.92	45
2.561	35.04	30
2.065	43.85	27
2.048	44.23	34
1.541	60.04	25